Starting from the GGA+U geometry in Alexandria, the X-ray powder pattern of Fe4O5F3 was calculated for CuKα.
Peak positions follow from Bragg's law for the DFT cell and can differ from measured ones.

Structure:
a = 4.692 Å, b = 6.066 Å, c = 9.403 Å
α = 89.93°, β = 86.22°, γ = 89.89°
Positions (direct):
Fe 0.000 0.000 0.000
Fe 0.008 0.499 0.508
Fe 0.021 0.985 0.508
Fe 0.462 0.755 0.239
Fe 0.490 0.753 0.734
Fe 0.500 0.251 0.257
Fe 0.551 0.236 0.766
Fe 0.977 0.503 0.012
O 0.172 0.750 0.092
O 0.197 0.739 0.597
O 0.301 0.500 0.352
O 0.304 0.007 0.349
O 0.312 0.996 0.850
O 0.683 0.501 0.162
O 0.688 0.005 0.153
O 0.699 0.492 0.656
O 0.711 0.997 0.653
O 0.820 0.252 0.915
F 0.203 0.267 0.105
F 0.210 0.238 0.605
F 0.301 0.493 0.852
F 0.785 0.730 0.897
F 0.802 0.758 0.403
F 0.815 0.250 0.410

Most intense lines, 5 to 70 degrees two-theta, in order of rising 2θ:
| d [Å] | 2θ (°) | I/Imax | hkl |
| --- | --- | --- | --- |
| 3.429 | 26.0 | 97 | 1 0 2 |
| 3.210 | 27.8 | 92 | 1 0 -2 |
| 2.546 | 35.2 | 100 | 1 2 0 |
| 2.343 | 38.4 | 16 | 0 0 4 |
| 2.272 | 39.7 | 17 | 1 -2 2 |
| 1.757 | 52.1 | 43 | 1 2 4 |
| 1.714 | 53.4 | 16 | 2 0 4 |
| 1.695 | 54.1 | 40 | 2 2 -2 |
| 1.516 | 61.1 | 17 | 0 4 0 |
| 1.390 | 67.4 | 28 | 0 2 6 |